Starting from a PBE-relaxed structure, the powder X-ray diffraction pattern of Ce4CoOs2 was simulated for Cu Kα X-rays.
Intensities are scaled so that the largest is 100.

Structure:
```
data_Ce4CoOs2
_symmetry_space_group_name_H-M 'C 1 2/m 1'
_symmetry_Int_Tables_number 12
_symmetry_space_group_name_Hall '-C 2y'
_cell_length_a 11.093
_cell_length_b 4.212
_cell_length_c 8.603
_cell_angle_alpha 90.00
_cell_angle_beta 129.80
_cell_angle_gamma 90.00
loop_
_atom_site_label
_atom_site_fract_x
_atom_site_fract_y
_atom_site_fract_z
Ce1 0.082 0.000 0.380
Ce2 0.190 0.500 0.078
Co1 0.000 0.000 0.000
Os1 0.165 0.500 0.649
```

Main lines, low angle first (5° ≤ 2θ ≤ 70°):
- hkl 1 1 -2, 30.46 deg, I = 100.0
- hkl 4 0 -2, 32.28 deg, I = 41.6
- hkl 3 1 -1, 32.91 deg, I = 20.0
- hkl 4 0 -1, 35.01 deg, I = 26.7
- hkl 3 1 0, 38.21 deg, I = 59.3
- hkl 3 1 -3, 38.38 deg, I = 74.3
- hkl 0 0 3, 40.97 deg, I = 19.4
- hkl 1 1 2, 41.09 deg, I = 54.7
- hkl 0 2 0, 42.95 deg, I = 43.7
- hkl 2 0 -5, 58.40 deg, I = 20.6